Record 1
For HfVPt6, a GGA-PBE-relaxed structure gives the computed powder diffraction line list in this record (Cu Kα (weighted mean of Kα1 and Kα2)).

The 10 most intense peaks (2θ from 15° to 90°), in order of falling intensity:
39.21°, rel. 100
45.65°, rel. 33
80.05°, rel. 26
66.41°, rel. 21
45.47°, rel. 16
79.79°, rel. 13
84.31°, rel. 11
66.55°, rel. 11
22.34°, rel. 4
31.80°, rel. 3

Atomic structure:
```
8
Lattice="3.9743 0.0000 0.0000 0.0000 3.9743 0.0000 0.0000 0.0000 7.9786" Properties=species:S:1:pos:R:3 pbc="T T T"
Hf 0.0000 0.0000 0.0000
V 0.0000 0.0000 3.9893
Pt 0.0000 1.9871 2.0420
Pt 0.0000 1.9871 5.9366
Pt 1.9871 0.0000 2.0420
Pt 1.9871 0.0000 5.9366
Pt 1.9871 1.9871 0.0000
Pt 1.9871 1.9871 3.9893
```

Record 2
For Ho2CuI2, a GGA-PBE-relaxed structure gives the computed powder diffraction line list in this record (Cu Kα (weighted mean of Kα1 and Kα2)).

The 10 most intense peaks (2θ from 15° to 90°), in order of falling intensity:
28.44°, rel. 100
32.63°, rel. 75
42.09°, rel. 53
44.81°, rel. 51
31.08°, rel. 35
53.93°, rel. 17
80.74°, rel. 16
63.16°, rel. 16
56.52°, rel. 15
15.05°, rel. 14

Atomic structure:
```
5
Lattice="2.0226 1.1677 11.7702 -2.0226 1.1677 11.7702 0.0000 -2.3355 11.7702" Properties=species:S:1:pos:R:3 pbc="T T T"
Ho 0.0000 0.0000 4.2773
Ho 0.0000 0.0000 31.0332
Cu 0.0000 0.0000 17.6552
I 0.0000 0.0000 9.6016
I 0.0000 0.0000 25.7089
```

Record 3
For Cs3In4Bi2, a GGA-PBE-relaxed structure gives the computed powder diffraction line list in this record (Cu Kα (weighted mean of Kα1 and Kα2)).

The 10 most intense peaks (2θ from 15° to 90°), in order of falling intensity:
25.77°, rel. 100
31.20°, rel. 71
30.46°, rel. 55
35.48°, rel. 50
24.64°, rel. 48
22.78°, rel. 46
29.12°, rel. 39
30.04°, rel. 35
48.16°, rel. 32
24.98°, rel. 32

Atomic structure:
```
9
Lattice="7.2802 -2.8665 0.0000 7.2802 2.8665 0.0000 -4.8011 0.0000 9.5700" Properties=species:S:1:pos:R:3 pbc="T T T"
Cs 0.0000 0.0000 0.0000
Cs 2.5554 0.0000 6.0926
Cs 7.2040 0.0000 3.4773
In -1.5438 0.0000 6.0272
In -0.1299 0.0000 8.9323
In 9.8893 0.0000 0.6377
In 11.3032 0.0000 3.5428
Bi 3.3874 0.0000 2.1809
Bi 6.3720 0.0000 7.3891
```